(1)
# Li4Zn3Pd2
Theoretical powder X-ray diffraction pattern, Cu Kα, 1.54184 Å. Input: a DFT-relaxed cell (PBE, Alexandria).
Neutral-atom scattering factors, no anomalous dispersion.

The 10 most intense peaks (2θ = 15–90°), in order of rising 2θ:
(2 0 -1), 20.40°, d 4.354, I 505; (2 0 -2), 25.25°, d 3.528, I 349; (1 1 1), 29.90°, d 2.988, I 319; (1 1 2), 38.22°, d 2.355, I 208; (1 1 -3), 40.71°, d 2.216, I 1000; (4 0 -3), 45.16°, d 2.008, I 184; (0 2 0), 46.22°, d 1.964, I 173; (2 0 3), 50.59°, d 1.804, I 130; (4 2 -3), 66.61°, d 1.404, I 110; (1 3 -3), 81.84°, d 1.177, I 121

```
data_Li4Zn3Pd2
_chemical_formula_sum 'Li8 Zn6 Pd4'
_cell_length_a 8.810
_cell_length_b 3.929
_cell_length_c 8.090
_cell_angle_alpha 90.00
_cell_angle_beta 113.83
_cell_angle_gamma 90.00
_space_group_name_H-M_alt 'C 1 2/m 1'
_space_group_IT_number 12
_space_group_name_Hall '-C 2y'
loop_
_atom_site_label
_atom_site_fract_x
_atom_site_fract_y
_atom_site_fract_z
Li1 0.002 0.000 0.336
Li2 0.167 0.500 0.883
Zn1 0.000 0.000 0.000
Zn2 0.171 0.500 0.556
Pd1 0.162 0.500 0.219
```

---

(2)
# Li7ZnPd3
Theoretical powder X-ray diffraction pattern, Cu Kα, 1.54184 Å. Input: a DFT-relaxed cell (PBE, Alexandria).
Neutral-atom scattering factors, no anomalous dispersion.

The 10 most intense peaks (2θ = 15–90°), in order of rising 2θ:
(0 4 0), 17.04°, d 5.202, I 355; (0 2 3), 23.50°, d 3.786, I 1000; (0 6 0), 25.69°, d 3.468, I 429; (0 4 3), 27.86°, d 3.203, I 190; (1 1 0), 32.83°, d 2.728, I 237; (1 3 0), 35.08°, d 2.558, I 249; (1 1 3), 39.79°, d 2.265, I 465; (0 8 3), 41.20°, d 2.191, I 399; (0 0 6), 44.58°, d 2.033, I 204; (1 5 3), 45.38°, d 1.998, I 232

```
data_Li7ZnPd3
_chemical_formula_sum 'Li28 Zn4 Pd12'
_cell_length_a 2.752
_cell_length_b 20.809
_cell_length_c 12.194
_cell_angle_alpha 90.00
_cell_angle_beta 90.00
_cell_angle_gamma 90.00
_space_group_name_H-M_alt 'C m c m'
_space_group_IT_number 63
_space_group_name_Hall '-C 2c 2'
loop_
_atom_site_label
_atom_site_fract_x
_atom_site_fract_y
_atom_site_fract_z
Li1 0.000 0.058 0.133
Li2 0.000 0.095 0.588
Li3 0.000 0.188 0.250
Li4 0.000 0.220 0.596
Zn1 0.000 0.467 0.250
Pd1 0.000 0.342 0.565
Pd2 0.000 0.343 0.250
```

---

(3)
# Li6Zn5Pd
Theoretical powder X-ray diffraction pattern, Cu Kα, 1.54184 Å. Input: a DFT-relaxed cell (PBE, Alexandria).
Neutral-atom scattering factors, no anomalous dispersion.

The 10 most intense peaks (2θ = 15–90°), in order of rising 2θ:
(0 2 0), 22.41°, d 3.968, I 886; (2 0 1), 32.81°, d 2.730, I 671; (2 2 1), 40.09°, d 2.249, I 1000; (0 4 0), 45.73°, d 1.984, I 172; (2 0 -2), 46.74°, d 1.944, I 160; (6 0 0), 47.42°, d 1.917, I 151; (2 2 -2), 52.42°, d 1.745, I 174; (6 2 0), 53.05°, d 1.726, I 162; (2 4 1), 57.42°, d 1.605, I 255; (2 6 1), 80.73°, d 1.190, I 117

```
data_Li6Zn5Pd
_chemical_formula_sum 'Li12 Zn10 Pd2'
_cell_length_a 12.135
_cell_length_b 7.936
_cell_length_c 3.887
_cell_angle_alpha 90.00
_cell_angle_beta 108.56
_cell_angle_gamma 90.00
_space_group_name_H-M_alt 'C 1 2/m 1'
_space_group_IT_number 12
_space_group_name_Hall '-C 2y'
loop_
_atom_site_label
_atom_site_fract_x
_atom_site_fract_y
_atom_site_fract_z
Li1 0.000 0.246 0.000
Li2 0.164 0.247 0.664
Zn1 0.000 0.500 0.500
Zn2 0.161 0.000 0.161
Zn3 0.169 0.500 0.169
Pd1 0.000 0.000 0.500
```

---

(4)
# Li7ZnPd2
Theoretical powder X-ray diffraction pattern, Cu Kα, 1.54184 Å. Input: a DFT-relaxed cell (PBE, Alexandria).
Neutral-atom scattering factors, no anomalous dispersion.

The 10 most intense peaks (2θ = 15–90°), in order of rising 2θ:
(0 0 1), 19.35°, d 4.588, I 273; (2 0 0), 23.83°, d 3.735, I 1000; (0 2 1), 24.15°, d 3.686, I 644; (1 3 0), 24.64°, d 3.613, I 634; (2 2 1), 34.16°, d 2.625, I 522; (0 0 2), 39.28°, d 2.294, I 174; (3 3 0), 42.36°, d 2.134, I 174; (1 5 1), 43.25°, d 2.092, I 451; (1 3 2), 46.93°, d 1.936, I 269; (3 5 1), 56.05°, d 1.641, I 236

```
data_Li7ZnPd2
_chemical_formula_sum 'Li14 Zn2 Pd4'
_cell_length_a 7.479
_cell_length_b 12.378
_cell_length_c 4.588
_cell_angle_alpha 90.00
_cell_angle_beta 90.00
_cell_angle_gamma 90.00
_space_group_name_H-M_alt 'C m m m'
_space_group_IT_number 65
_space_group_name_Hall '-C 2 2'
loop_
_atom_site_label
_atom_site_fract_x
_atom_site_fract_y
_atom_site_fract_z
Li1 0.000 0.000 0.000
Li2 0.000 0.253 0.500
Li3 0.183 0.374 0.000
Zn1 0.000 0.500 0.500
Pd1 0.000 0.200 0.000
```

---

(5)
# Li2Zn7Pd
Theoretical powder X-ray diffraction pattern, Cu Kα, 1.54184 Å. Input: a DFT-relaxed cell (PBE, Alexandria).
Neutral-atom scattering factors, no anomalous dispersion.

The 10 most intense peaks (2θ = 15–90°), in order of rising 2θ:
(0 0 2), 17.13°, d 5.177, I 275; (0 1 1), 25.59°, d 3.481, I 192; (0 1 2), 29.70°, d 3.008, I 275; (0 1 3), 35.59°, d 2.522, I 298; (1 1 0), 42.36°, d 2.134, I 1000; (0 1 4), 42.65°, d 2.120, I 952; (1 1 2), 46.01°, d 1.973, I 128; (2 0 4), 61.67°, d 1.504, I 302; (3 0 0), 77.48°, d 1.232, I 154; (1 2 4), 77.68°, d 1.229, I 296

```
data_Li2Zn7Pd
_chemical_formula_sum 'Li2 Zn7 Pd1'
_cell_length_a 4.2677
_cell_length_b 4.2677
_cell_length_c 10.3532
_cell_angle_alpha 90.00
_cell_angle_beta 90.00
_cell_angle_gamma 120.00
_space_group_name_H-M_alt 'P 3 m 1'
_space_group_IT_number 156
_space_group_name_Hall 'P 3 -2"'
loop_
_atom_site_label
_atom_site_fract_x
_atom_site_fract_y
_atom_site_fract_z
Li1 0.0000 0.0000 0.0000
Li2 0.3333 0.6667 0.5746
Zn1 0.0000 0.0000 0.2625
Zn2 0.0000 0.0000 0.7293
Zn3 0.3333 0.6667 0.0738
Zn4 0.3333 0.6667 0.3263
Zn5 0.3333 0.6667 0.8238
Zn6 0.6667 0.3333 0.4231
Zn7 0.6667 0.3333 0.8978
Pd1 0.6667 0.3333 0.1614
```

---

(6)
# Li2ZnPd8
Theoretical powder X-ray diffraction pattern, Cu Kα, 1.54184 Å. Input: a DFT-relaxed cell (PBE, Alexandria).
Neutral-atom scattering factors, no anomalous dispersion.

The 10 most intense peaks (2θ = 15–90°), in order of rising 2θ:
(1 0 1), 23.98°, d 3.711, I 133; (0 0 3), 24.72°, d 3.602, I 124; (1 0 2), 27.98°, d 3.189, I 124; (1 1 0), 32.03°, d 2.794, I 144; (1 1 3), 40.88°, d 2.208, I 1000; (2 0 0), 45.93°, d 1.976, I 378; (2 2 0), 66.98°, d 1.397, I 119; (2 0 6), 70.79°, d 1.331, I 158; (3 1 3), 81.54°, d 1.181, I 256; (2 2 6), 88.63°, d 1.104, I 153

```
data_Li2ZnPd8
_chemical_formula_sum 'Li2 Zn1 Pd8'
_cell_length_a 3.951
_cell_length_b 3.951
_cell_length_c 10.805
_cell_angle_alpha 90.00
_cell_angle_beta 90.00
_cell_angle_gamma 90.00
_space_group_name_H-M_alt 'P 4/m m m'
_space_group_IT_number 123
_space_group_name_Hall '-P 4 2'
loop_
_atom_site_label
_atom_site_fract_x
_atom_site_fract_y
_atom_site_fract_z
Li1 0.000 0.000 0.172
Zn1 0.000 0.000 0.500
Pd1 0.000 0.500 0.000
Pd2 0.000 0.500 0.351
Pd3 0.500 0.500 0.175
```

---

(7)
# Li4Zn5Pd2
Theoretical powder X-ray diffraction pattern, Cu Kα, 1.54184 Å. Input: a DFT-relaxed cell (PBE, Alexandria).
Neutral-atom scattering factors, no anomalous dispersion.

The 10 most intense peaks (2θ = 15–90°), in order of rising 2θ:
(1 1 0), 19.40°, d 4.575, I 853; (1 1 -1), 23.16°, d 3.841, I 415; (1 1 1), 23.59°, d 3.771, I 310; (0 0 2), 26.00°, d 3.427, I 319; (0 0 3), 39.43°, d 2.285, I 597; (2 2 -1), 41.36°, d 2.183, I 322; (4 0 -1), 41.63°, d 2.169, I 394; (2 2 1), 41.88°, d 2.157, I 1000; (2 2 -2), 47.33°, d 1.921, I 613; (4 0 2), 49.21°, d 1.852, I 284

```
data_Li4Zn5Pd2
_chemical_formula_sum 'Li8 Zn10 Pd4'
_cell_length_a 9.035
_cell_length_b 5.308
_cell_length_c 6.860
_cell_angle_alpha 90.00
_cell_angle_beta 92.26
_cell_angle_gamma 90.00
_space_group_name_H-M_alt 'C 1 2/m 1'
_space_group_IT_number 12
_space_group_name_Hall '-C 2y'
loop_
_atom_site_label
_atom_site_fract_x
_atom_site_fract_y
_atom_site_fract_z
Li1 0.148 0.000 0.121
Li2 0.178 0.000 0.485
Zn1 0.000 0.500 0.500
Zn2 0.103 0.252 0.809
Pd1 0.148 0.500 0.167
```

---

(8)
# LiZn5Pd4
Theoretical powder X-ray diffraction pattern, Cu Kα, 1.54184 Å. Input: a DFT-relaxed cell (PBE, Alexandria).
Neutral-atom scattering factors, no anomalous dispersion.

The 10 most intense peaks (2θ = 15–90°), in order of rising 2θ:
(0 0 3), 17.63°, d 5.030, I 37; (1 0 1), 29.56°, d 3.022, I 50; (1 0 2), 31.32°, d 2.856, I 38; (1 1 0), 41.39°, d 2.182, I 509; (1 0 5), 41.87°, d 2.157, I 1000; (2 0 0), 59.97°, d 1.543, I 164; (0 0 10), 61.44°, d 1.509, I 75; (2 1 5), 75.81°, d 1.255, I 323; (1 1 10), 76.80°, d 1.241, I 152; (2 2 0), 89.94°, d 1.091, I 53

```
data_LiZn5Pd4
_chemical_formula_sum 'Li1 Zn5 Pd4'
_cell_length_a 3.085
_cell_length_b 3.085
_cell_length_c 15.091
_cell_angle_alpha 90.00
_cell_angle_beta 90.00
_cell_angle_gamma 90.00
_space_group_name_H-M_alt 'P 4/m m m'
_space_group_IT_number 123
_space_group_name_Hall '-P 4 2'
loop_
_atom_site_label
_atom_site_fract_x
_atom_site_fract_y
_atom_site_fract_z
Li1 0.000 0.000 0.000
Zn1 0.500 0.500 0.097
Zn2 0.500 0.500 0.299
Zn3 0.500 0.500 0.500
Pd1 0.000 0.000 0.198
Pd2 0.000 0.000 0.400
```

---

(9)
# LiZn5Pd6
Theoretical powder X-ray diffraction pattern, Cu Kα, 1.54184 Å. Input: a DFT-relaxed cell (PBE, Alexandria).
Neutral-atom scattering factors, no anomalous dispersion.

The 10 most intense peaks (2θ = 15–90°), in order of rising 2θ:
(1 3 -1), 28.70°, d 3.111, I 226; (2 0 -2), 41.04°, d 2.199, I 1000; (1 3 1), 42.12°, d 2.145, I 921; (3 3 -1), 42.28°, d 2.138, I 911; (2 6 -2), 59.43°, d 1.555, I 322; (4 0 0), 62.96°, d 1.476, I 135; (1 3 -3), 75.46°, d 1.260, I 310; (3 9 -1), 75.56°, d 1.258, I 154; (5 3 -3), 75.77°, d 1.255, I 153; (4 6 0), 77.92°, d 1.226, I 142

```
data_LiZn5Pd6
_chemical_formula_sum 'Li2 Zn10 Pd12'
_cell_length_a 7.344
_cell_length_b 13.208
_cell_length_c 4.395
_cell_angle_alpha 90.00
_cell_angle_beta 126.48
_cell_angle_gamma 90.00
_space_group_name_H-M_alt 'C 1 2/m 1'
_space_group_IT_number 12
_space_group_name_Hall '-C 2y'
loop_
_atom_site_label
_atom_site_fract_x
_atom_site_fract_y
_atom_site_fract_z
Li1 0.000 0.000 0.000
Zn1 0.000 0.164 0.500
Zn2 0.000 0.334 0.000
Zn3 0.000 0.500 0.500
Pd1 0.249 0.333 0.749
Pd2 0.249 0.500 0.249
```

---

(10)
# Li2Zr2Pd5
Theoretical powder X-ray diffraction pattern, Cu Kα, 1.54184 Å. Input: a DFT-relaxed cell (PBE, Alexandria).
Neutral-atom scattering factors, no anomalous dispersion.

The 10 most intense peaks (2θ = 15–90°), in order of rising 2θ:
(2 1 1), 23.56°, d 3.776, I 168; (5 1 0), 34.49°, d 2.601, I 217; (4 2 0), 35.91°, d 2.501, I 1000; (3 1 2), 38.87°, d 2.317, I 180; (0 2 2), 40.16°, d 2.245, I 963; (4 0 2), 40.63°, d 2.220, I 796; (3 3 0), 42.50°, d 2.127, I 160; (0 4 0), 50.92°, d 1.793, I 193; (4 4 2), 67.08°, d 1.395, I 218; (4 2 4), 76.34°, d 1.247, I 211

```
data_Li2Zr2Pd5
_chemical_formula_sum 'Li8 Zr8 Pd20'
_cell_length_a 13.953
_cell_length_b 7.175
_cell_length_c 5.757
_cell_angle_alpha 90.00
_cell_angle_beta 90.00
_cell_angle_gamma 90.00
_space_group_name_H-M_alt 'I m a 2'
_space_group_IT_number 46
_space_group_name_Hall 'I 2 -2a'
loop_
_atom_site_label
_atom_site_fract_x
_atom_site_fract_y
_atom_site_fract_z
Li1 0.073 0.040 0.000
Zr1 0.000 0.000 0.501
Zr2 0.250 0.550 0.003
Pd1 0.101 0.749 0.751
Pd2 0.150 0.247 0.254
Pd3 0.250 0.550 0.501
```

---

(11)
# LiZr2Pd6
Theoretical powder X-ray diffraction pattern, Cu Kα, 1.54184 Å. Input: a DFT-relaxed cell (PBE, Alexandria).
Neutral-atom scattering factors, no anomalous dispersion.

The 10 most intense peaks (2θ = 15–90°), in order of rising 2θ:
(1 1 1), 33.43°, d 2.681, I 397; (1 3 1), 38.29°, d 2.351, I 250; (0 6 0), 39.09°, d 2.304, I 549; (0 4 1), 40.33°, d 2.236, I 401; (3 3 0), 40.98°, d 2.202, I 1000; (2 2 1), 41.16°, d 2.193, I 474; (2 4 1), 47.29°, d 1.922, I 278; (3 1 1), 48.20°, d 1.888, I 246; (3 7 1), 68.40°, d 1.372, I 222; (3 3 2), 78.33°, d 1.221, I 286

```
data_LiZr2Pd6
_chemical_formula_sum 'Li2 Zr4 Pd12'
_cell_length_a 7.522
_cell_length_b 13.827
_cell_length_c 2.933
_cell_angle_alpha 90.00
_cell_angle_beta 90.00
_cell_angle_gamma 90.00
_space_group_name_H-M_alt 'C m m m'
_space_group_IT_number 65
_space_group_name_Hall '-C 2 2'
loop_
_atom_site_label
_atom_site_fract_x
_atom_site_fract_y
_atom_site_fract_z
Li1 0.000 0.000 0.000
Zr1 0.000 0.316 0.500
Pd1 0.182 0.500 0.500
Pd2 0.184 0.157 0.000
```

---

(12)
# LiPmPr
Theoretical powder X-ray diffraction pattern, Cu Kα, 1.54184 Å. Input: a DFT-relaxed cell (PBE, Alexandria).
Neutral-atom scattering factors, no anomalous dispersion.

The 10 most intense peaks (2θ = 15–90°), in order of rising 2θ:
(1 0 1), 24.53°, d 3.629, I 615; (0 0 4), 28.08°, d 3.177, I 199; (1 0 3), 31.69°, d 2.823, I 1000; (1 1 0), 33.47°, d 2.677, I 463; (1 1 4), 44.24°, d 2.047, I 232; (2 0 0), 48.06°, d 1.893, I 168; (2 1 1), 54.68°, d 1.678, I 137; (1 1 6), 55.30°, d 1.661, I 166; (1 0 7), 56.18°, d 1.637, I 161; (2 1 3), 58.72°, d 1.572, I 344

```
data_LiPmPr
_chemical_formula_sum 'Li2 Pm2 Pr2'
_cell_length_a 3.786
_cell_length_b 3.786
_cell_length_c 12.710
_cell_angle_alpha 90.00
_cell_angle_beta 90.00
_cell_angle_gamma 90.00
_space_group_name_H-M_alt 'I 4 m m'
_space_group_IT_number 107
_space_group_name_Hall 'I 4 -2'
loop_
_atom_site_label
_atom_site_fract_x
_atom_site_fract_y
_atom_site_fract_z
Li1 0.000 0.000 0.000
Pm1 0.000 0.000 0.349
Pr1 0.000 0.000 0.655
```

---

(13)
# LiPm4Pr
Theoretical powder X-ray diffraction pattern, Cu Kα, 1.54184 Å. Input: a DFT-relaxed cell (PBE, Alexandria).
Neutral-atom scattering factors, no anomalous dispersion.

The 10 most intense peaks (2θ = 15–90°), in order of rising 2θ:
(1 0 2), 27.23°, d 3.275, I 209; (1 0 3), 30.62°, d 2.919, I 1000; (0 0 5), 31.05°, d 2.880, I 110; (1 1 0), 34.49°, d 2.601, I 415; (1 1 5), 47.08°, d 1.930, I 139; (2 0 0), 49.57°, d 1.839, I 149; (1 1 6), 51.84°, d 1.764, I 152; (1 0 8), 56.96°, d 1.617, I 140; (2 1 3), 59.40°, d 1.556, I 304; (2 1 8), 78.83°, d 1.214, I 108

```
data_LiPm4Pr
_chemical_formula_sum 'Li1 Pm4 Pr1'
_cell_length_a 3.678
_cell_length_b 3.678
_cell_length_c 14.400
_cell_angle_alpha 90.00
_cell_angle_beta 90.00
_cell_angle_gamma 90.00
_space_group_name_H-M_alt 'P 4/m m m'
_space_group_IT_number 123
_space_group_name_Hall '-P 4 2'
loop_
_atom_site_label
_atom_site_fract_x
_atom_site_fract_y
_atom_site_fract_z
Li1 0.000 0.000 0.000
Pm1 0.000 0.000 0.317
Pm2 0.500 0.500 0.142
Pr1 0.500 0.500 0.500
```